Structure and simulated X-ray diffraction stick pattern of SmAlBRu2 (a DFT-relaxed cell (PBE, Alexandria); a wavelength of 1.5418 Å).
No peak broadening, texture or thermal motion is included.

Cell and atoms:
a b c (Å): 4.097 11.055 7.358
angles (deg): 90.00 90.00 90.00
Space group Cmcm (No. 63)
Unique sites:
Sm (0.000, 0.051, 0.250)
Al (0.000, 0.226, 0.750)
B (0.000, 0.500, 0.000)
Ru (0.000, 0.326, 0.058)

Most intense lines, 15 to 90 degrees two-theta, sorted by position:
- (1 1 1), 2θ 26.2, intensity 28
- (0 2 2), 2θ 29.2, intensity 43
- (1 3 0), 2θ 32.7, intensity 78
- (1 1 2), 2θ 33.7, intensity 100
- (0 4 1), 2θ 34.7, intensity 48
- (1 3 1), 2θ 34.9, intensity 34
- (0 2 3), 2θ 40.2, intensity 33
- (2 0 0), 2θ 44.2, intensity 35